[1]
Tm4AlCo2: computed powder diffraction line list (Cu Kα), based on a cell relaxed with GGA-PBE.
Lines closer than 0.1° are merged.

Atomic structure:
```
data_Tm4AlCo2
_symmetry_space_group_name_H-M 'P 1'
_symmetry_Int_Tables_number 1
_cell_length_a 6.669
_cell_length_b 6.945
_cell_length_c 7.126
_cell_angle_alpha 99.80
_cell_angle_beta 95.73
_cell_angle_gamma 101.33
loop_
_symmetry_equiv_pos_as_xyz
'x,y,z'
loop_
_atom_site_label
_atom_site_type_symbol
_atom_site_fract_x
_atom_site_fract_y
_atom_site_fract_z
_atom_site_occupancy
Tm1 Tm 0.000 0.000 0.000 1
Tm2 Tm 0.017 0.598 0.519 1
Tm3 Tm 0.346 0.963 0.397 1
Tm4 Tm 0.403 0.394 0.094 1
Tm5 Tm 0.442 0.838 0.899 1
Tm6 Tm 0.515 0.448 0.579 1
Tm7 Tm 0.888 0.117 0.602 1
Tm8 Tm 0.929 0.495 0.011 1
Al1 Al 0.730 0.785 0.263 1
Al2 Al 0.734 0.198 0.232 1
Co1 Co 0.134 0.265 0.347 1
Co2 Co 0.202 0.453 0.771 1
Co3 Co 0.293 0.141 0.739 1
Co4 Co 0.639 0.184 0.874 1
```

Top 10 peaks for 10° ≤ 2θ ≤ 80°, most intense first:
| two_theta | I/Imax | h k l |
| --- | --- | --- |
| 30.23 | 1000 | -2 1 1 |
| 31.24 | 812 | 0 1 2 |
| 27.55 | 730 | 2 0 0 |
| 32.74 | 637 | 1 2 0 |
| 33.28 | 562 | 2 1 -1 |
| 27.26 | 555 | 1 -2 0 |
| 25.62 | 527 | 0 0 2 |
| 36.03 | 433 | 2 -2 1 |
| 26.69 | 406 | 0 2 0 |
| 40.60 | 397 | 2 0 2 |

---

[2]
Pm2Cd5Ag: computed powder diffraction line list (Cu Kα), based on a cell relaxed with GGA-PBE.
Lines closer than 0.1° are merged.

Atomic structure:
```
data_Pm2Cd5Ag
_symmetry_space_group_name_H-M 'R -3 m'
_symmetry_Int_Tables_number 166
_symmetry_space_group_name_Hall '-R 3 2"'
_cell_length_a 4.7240
_cell_length_b 4.7240
_cell_length_c 33.6847
_cell_angle_alpha 90.00
_cell_angle_beta 90.00
_cell_angle_gamma 120.00
loop_
_atom_site_label
_atom_site_type_symbol
_atom_site_fract_x
_atom_site_fract_y
_atom_site_fract_z
_atom_site_occupancy
Pm1 Pm 0.0000 0.0000 0.0914 1
Cd1 Cd 0.0000 0.0000 0.1948 1
Cd2 Cd 0.0000 0.0000 0.3630 1
Cd3 Cd 0.0000 0.0000 0.5000 1
Ag1 Ag 0.0000 0.0000 0.0000 1
```

Top 10 peaks for 10° ≤ 2θ ≤ 80°, most intense first:
| two_theta | I/Imax | h k l |
| --- | --- | --- |
| 38.10 | 1000 | 1 1 0 |
| 28.64 | 709 | 1 0 7 |
| 36.66 | 511 | 0 1 11 |
| 34.49 | 398 | 1 0 10 |
| 68.85 | 167 | 3 0 0 |
| 53.90 | 164 | 2 0 11 |
| 48.35 | 164 | 0 2 7 |
| 67.91 | 163 | 1 2 11 |
| 63.16 | 144 | 2 1 7 |
| 21.88 | 130 | 1 0 1 |